# 1
The following is a theoretical PXRD pattern of LaO3. It was derived from a crystal structure in Alexandria, relaxed with PBE, using λ = 1.5418 Å (Cu Kα).

Main lines, sorted by position (15 to 90 degrees two-theta):
two_theta, I/Imax
22.85, 29
25.75, 100
26.97, 24
29.04, 66
30.29, 56
31.46, 71
31.86, 44
35.01, 73
44.64, 35
45.81, 31
47.23, 35
52.13, 27

Atomic structure:
```
LaO3
1.0
4.127 0.000 0.000
0.000 4.060 0.000
-1.791 0.000 6.611
La O
2 6
direct
0.173 0.250 0.312
0.827 0.750 0.688
0.255 0.750 0.517
0.256 0.250 0.894
0.433 0.750 0.131
0.567 0.250 0.869
0.744 0.750 0.106
0.745 0.250 0.483
```

***

# 2
The following is a theoretical PXRD pattern of LaOsO5. It was derived from a crystal structure in Alexandria, relaxed with PBE, using λ = 1.5418 Å (Cu Kα).

Main lines, sorted by position (15 to 90 degrees two-theta):
two_theta, I/Imax
16.86, 10
20.74, 71
26.78, 100
34.12, 70
42.21, 14
47.30, 24
50.67, 22
50.72, 11
52.16, 21
55.19, 12
65.25, 11
71.94, 11

Atomic structure:
```
LaOsO5
1.0
4.691 -3.332 0.000
4.691 3.332 0.000
-3.136 0.000 7.010
La Os O
2 2 10
direct
0.047 0.953 0.750
0.953 0.047 0.250
0.500 0.500 0.000
0.500 0.500 0.500
0.202 0.777 0.033
0.223 0.798 0.467
0.277 0.304 0.393
0.304 0.277 0.893
0.425 0.575 0.750
0.575 0.425 0.250
0.696 0.723 0.107
0.723 0.696 0.607
0.777 0.202 0.533
0.798 0.223 0.967
```

***

# 3
The following is a theoretical PXRD pattern of RbLaOs2O8. It was derived from a crystal structure in Alexandria, relaxed with PBE, using λ = 1.5418 Å (Cu Kα).

Main lines, sorted by position (15 to 90 degrees two-theta):
two_theta, I/Imax
19.93, 100
27.54, 50
29.11, 52
35.53, 11
37.09, 15
40.50, 24
46.56, 21
50.65, 18
51.60, 11
53.93, 18
56.97, 9
60.34, 9

Atomic structure:
```
RbLaOs2O8
1.0
6.136 0.000 0.000
-3.068 5.314 0.000
0.000 0.000 8.170
Rb La Os O
1 1 2 8
direct
0.000 0.000 0.000
0.000 0.000 0.500
0.333 0.667 0.767
0.667 0.333 0.233
0.170 0.347 0.687
0.177 0.830 0.687
0.333 0.667 0.984
0.347 0.177 0.313
0.653 0.823 0.687
0.667 0.333 0.016
0.823 0.170 0.313
0.830 0.653 0.313
```

***

# 4
The following is a theoretical PXRD pattern of SrLa2OsO8. It was derived from a crystal structure in Alexandria, relaxed with PBE, using λ = 1.5418 Å (Cu Kα).

Main lines, sorted by position (15 to 90 degrees two-theta):
two_theta, I/Imax
20.80, 14
23.81, 100
29.90, 91
33.92, 26
45.84, 69
48.72, 17
54.93, 17
56.46, 19
58.23, 20
69.12, 17
77.75, 13
79.27, 13

Atomic structure:
```
SrLa2OsO8
1.0
3.738 -3.738 0.000
3.738 3.738 0.000
-0.007 0.000 7.244
Sr La Os O
1 2 1 8
direct
0.000 0.000 0.000
0.499 0.499 0.753
0.501 0.501 0.247
0.000 0.000 0.500
0.174 0.824 0.314
0.176 0.826 0.686
0.251 0.251 0.499
0.319 0.319 0.000
0.681 0.681 0.000
0.749 0.749 0.501
0.824 0.174 0.314
0.826 0.176 0.686
```

***

# 5
The following is a theoretical PXRD pattern of LaTlOs2O8. It was derived from a crystal structure in Alexandria, relaxed with PBE, using λ = 1.5418 Å (Cu Kα).

Main lines, sorted by position (15 to 90 degrees two-theta):
two_theta, I/Imax
16.62, 13
20.06, 100
28.03, 87
28.99, 82
37.97, 18
40.76, 40
46.46, 21
50.79, 34
51.38, 17
55.06, 25
60.07, 14
67.57, 15

Atomic structure:
```
LaTlOs2O8
1.0
6.161 0.000 0.000
-3.080 5.335 0.000
0.000 0.000 7.935
La Tl Os O
1 1 2 8
direct
0.000 0.000 0.000
0.000 0.000 0.500
0.333 0.667 0.273
0.667 0.333 0.727
0.172 0.347 0.191
0.175 0.828 0.191
0.333 0.667 0.495
0.347 0.175 0.809
0.653 0.825 0.191
0.667 0.333 0.505
0.825 0.172 0.809
0.828 0.653 0.809
```

***

# 6
The following is a theoretical PXRD pattern of La3P2O. It was derived from a crystal structure in Alexandria, relaxed with PBE, using λ = 1.5418 Å (Cu Kα).

Main lines, sorted by position (15 to 90 degrees two-theta):
two_theta, I/Imax
23.77, 78
27.12, 100
27.24, 56
30.11, 85
30.61, 76
31.58, 55
33.98, 35
34.73, 42
38.31, 34
43.35, 44
49.02, 33
51.89, 34

Atomic structure:
```
La3P2O
1.0
11.689 0.000 0.000
0.000 4.174 0.000
0.000 0.000 12.261
La P O
12 8 4
direct
0.064 0.250 0.133
0.124 0.750 0.568
0.228 0.250 0.808
0.272 0.750 0.308
0.376 0.250 0.068
0.436 0.750 0.633
0.564 0.250 0.367
0.624 0.750 0.932
0.728 0.250 0.692
0.772 0.750 0.192
0.876 0.250 0.432
0.936 0.750 0.867
0.004 0.750 0.311
0.180 0.750 0.990
0.320 0.250 0.490
0.496 0.250 0.811
0.504 0.750 0.189
0.680 0.750 0.510
0.820 0.250 0.010
0.996 0.250 0.689
0.248 0.250 0.212
0.252 0.750 0.712
0.748 0.250 0.288
0.752 0.750 0.788
```

***

# 7
The following is a theoretical PXRD pattern of La4P3O. It was derived from a crystal structure in Alexandria, relaxed with PBE, using λ = 1.5418 Å (Cu Kα).

Main lines, sorted by position (15 to 90 degrees two-theta):
two_theta, I/Imax
26.40, 100
30.53, 80
30.67, 39
43.61, 15
43.82, 71
51.72, 16
51.90, 23
54.25, 15
54.44, 14
72.24, 18
72.42, 12
80.54, 13

Atomic structure:
```
La4P3O
1.0
4.151 0.000 0.000
0.000 11.662 0.000
0.000 0.000 8.261
La P O
8 6 2
direct
0.000 0.000 0.000
0.000 0.000 0.478
0.000 0.500 0.500
0.000 0.500 0.978
0.500 0.241 0.239
0.500 0.259 0.739
0.500 0.741 0.739
0.500 0.759 0.239
0.000 0.250 0.489
0.000 0.250 0.989
0.000 0.750 0.489
0.000 0.750 0.989
0.500 0.000 0.739
0.500 0.500 0.239
0.500 0.000 0.238
0.500 0.500 0.738
```